1.
Structure and calculated X-ray diffraction stick pattern of FeSnPt (DFT lattice parameters and positions (PBE); Cu Kα).
Intensities are scaled so that the largest is 1000.

Structural model:
```
data_FeSnPt
_chemical_formula_sum 'Fe4 Sn4 Pt4'
_space_group_name_H-M_alt 'P 3 m 1'
_space_group_IT_number 156
_cell_length_a 4.0231
_cell_length_b 4.0231
_cell_length_c 15.8548
_cell_angle_alpha 90.00
_cell_angle_beta 90.00
_cell_angle_gamma 120.00
loop_
_space_group_symop_operation_xyz
'x,y,z'
'-y,x-y,z'
'-x+y,-x,z'
'-y,-x,z'
'-x+y,y,z'
'x,x-y,z'
loop_
_atom_site_label
_atom_site_type_symbol
_atom_site_fract_x
_atom_site_fract_y
_atom_site_fract_z
Fe1 Fe 0.0000 0.0000 0.0000
Fe2 Fe 0.0000 0.0000 0.3169
Fe3 Fe 0.3333 0.6667 0.2537
Fe4 Fe 0.3333 0.6667 0.9339
Sn1 Sn 0.0000 0.0000 0.6764
Sn2 Sn 0.6667 0.3333 0.1773
Sn3 Sn 0.6667 0.3333 0.4917
Sn4 Sn 0.6667 0.3333 0.8626
Pt1 Pt 0.3333 0.6667 0.0864
Pt2 Pt 0.3333 0.6667 0.4060
Pt3 Pt 0.3333 0.6667 0.5870
Pt4 Pt 0.3333 0.6667 0.7671
```

Most intense lines, 15° ≤ 2θ ≤ 90°, in order of falling intensity:
| (hkl) | Position (°2θ) | I_rel |
| --- | --- | --- |
| 1 0 6 | 43.0 | 1000 |
| 1 1 0 | 45.1 | 814 |
| 0 1 3 | 30.7 | 709 |
| 1 0 0 | 25.6 | 581 |
| 2 1 6 | 81.7 | 314 |
| 0 2 6 | 64.0 | 307 |

=====

2.
Structure and calculated X-ray diffraction stick pattern of CeBr3O7 (DFT lattice parameters and positions (PBE); Cu Kα).
Intensities are scaled so that the largest is 1000.

Structural model:
```
data_CeBr3O7
_chemical_formula_sum 'Ce2 Br6 O14'
_space_group_name_H-M_alt 'P -1'
_space_group_IT_number 2
_cell_length_a 6.6952
_cell_length_b 8.2572
_cell_length_c 9.6988
_cell_angle_alpha 74.12
_cell_angle_beta 81.03
_cell_angle_gamma 79.18
loop_
_space_group_symop_operation_xyz
'x,y,z'
'-x,-y,-z'
loop_
_atom_site_label
_atom_site_type_symbol
_atom_site_fract_x
_atom_site_fract_y
_atom_site_fract_z
Ce1 Ce 0.1682 0.1104 0.1955
Br1 Br 0.1393 0.4473 0.7809
Br2 Br 0.2317 0.1389 0.5218
Br3 Br 0.2694 0.7906 0.9776
O1 O 0.0023 0.1848 0.9713
O2 O 0.0426 0.0403 0.6581
O3 O 0.0952 0.6521 0.8141
O4 O 0.3206 0.6706 0.4118
O5 O 0.3274 0.6738 0.5374
O6 O 0.3494 0.8839 0.0954
O7 O 0.4061 0.2186 0.1615
```

Most intense lines, 15° ≤ 2θ ≤ 90°, in order of falling intensity:
| (hkl) | Position (°2θ) | I_rel |
| --- | --- | --- |
| 0 2 1 | 22.3 | 1000 |
| 1 1 -2 | 28.4 | 914 |
| 1 1 -1 | 21.0 | 906 |
| 1 1 3 | 29.2 | 883 |
| 0 2 2 | 25.8 | 874 |
| 1 -1 1 | 21.9 | 847 |

=====

3.
Structure and calculated X-ray diffraction stick pattern of Th3Cd (DFT lattice parameters and positions (PBE); Cu Kα).
Intensities are scaled so that the largest is 1000.

Structural model:
```
data_Th3Cd
_chemical_formula_sum 'Th6 Cd2'
_space_group_name_H-M_alt 'I 4/m m m'
_space_group_IT_number 139
_space_group_name_Hall '-I 4 2'
_cell_length_a 4.8979
_cell_length_b 4.8979
_cell_length_c 10.1213
_cell_angle_alpha 90.00
_cell_angle_beta 90.00
_cell_angle_gamma 90.00
loop_
_atom_site_label
_atom_site_type_symbol
_atom_site_fract_x
_atom_site_fract_y
_atom_site_fract_z
Th1 Th 0.0000 0.0000 0.0000
Th2 Th 0.0000 0.5000 0.2500
Cd1 Cd 0.0000 0.0000 0.5000
```

Most intense lines, 15° ≤ 2θ ≤ 90°, in order of falling intensity:
| (hkl) | Position (°2θ) | I_rel |
| --- | --- | --- |
| 1 1 2 | 31.3 | 1000 |
| 2 0 0 | 36.7 | 329 |
| 3 1 2 | 62.7 | 282 |
| 2 0 4 | 52.0 | 247 |
| 0 0 4 | 35.5 | 180 |
| 1 1 6 | 61.1 | 152 |

=====

4.
Structure and calculated X-ray diffraction stick pattern of Cd2Bi2Te3Se3 (DFT lattice parameters and positions (PBE); Cu Kα).
Intensities are scaled so that the largest is 1000.

Structural model:
```
data_Cd2Bi2Te3Se3
_chemical_formula_sum 'Cd6 Bi6 Te9 Se9'
_space_group_name_H-M_alt 'R 3 m'
_space_group_IT_number 160
_space_group_name_Hall 'R 3 -2"'
_cell_length_a 4.2507
_cell_length_b 4.2507
_cell_length_c 56.7614
_cell_angle_alpha 90.00
_cell_angle_beta 90.00
_cell_angle_gamma 120.00
loop_
_atom_site_label
_atom_site_type_symbol
_atom_site_fract_x
_atom_site_fract_y
_atom_site_fract_z
Cd1 Cd 0.0000 0.0000 0.0000
Cd2 Cd 0.0000 0.0000 0.4980
Bi1 Bi 0.0000 0.0000 0.1016
Bi2 Bi 0.0000 0.0000 0.6033
Te1 Te 0.0000 0.0000 0.1940
Te2 Te 0.0000 0.0000 0.6941
Te3 Te 0.0000 0.0000 0.9035
Se1 Se 0.0000 0.0000 0.3028
Se2 Se 0.0000 0.0000 0.4072
Se3 Se 0.0000 0.0000 0.8022
```

Most intense lines, 15° ≤ 2θ ≤ 90°, in order of falling intensity:
| (hkl) | Position (°2θ) | I_rel |
| --- | --- | --- |
| 1 0 10 | 28.9 | 1000 |
| 1 1 0 | 42.5 | 372 |
| 0 1 20 | 40.1 | 347 |
| 0 2 10 | 52.2 | 192 |
| 2 1 10 | 69.6 | 167 |
| 1 1 30 | 66.1 | 117 |

=====

5.
Structure and calculated X-ray diffraction stick pattern of Dy2Be2SiO7 (DFT lattice parameters and positions (PBE); Cu Kα).
Intensities are scaled so that the largest is 1000.

Structural model:
```
data_Dy2Be2SiO7
_chemical_formula_sum 'Dy4 Be4 Si2 O14'
_space_group_name_H-M_alt 'P -4 21 m'
_space_group_IT_number 113
_cell_length_a 7.3443
_cell_length_b 7.3443
_cell_length_c 4.7923
_cell_angle_alpha 90.00
_cell_angle_beta 90.00
_cell_angle_gamma 90.00
loop_
_space_group_symop_operation_xyz
'x,y,z'
'y,-x,-z'
'-x,-y,z'
'-y,x,-z'
'x+1/2,-y+1/2,-z'
'y+1/2,x+1/2,z'
'-x+1/2,y+1/2,-z'
'-y+1/2,-x+1/2,z'
loop_
_atom_site_label
_atom_site_type_symbol
_atom_site_fract_x
_atom_site_fract_y
_atom_site_fract_z
Dy1 Dy 0.1587 0.3413 0.0104
Be1 Be 0.1360 0.6360 0.5410
Si1 Si 0.0000 0.0000 0.5000
O1 O 0.0000 0.5000 0.6842
O2 O 0.0809 0.8366 0.6997
O3 O 0.1405 0.6405 0.2087
```

Most intense lines, 15° ≤ 2θ ≤ 90°, in order of falling intensity:
| (hkl) | Position (°2θ) | I_rel |
| --- | --- | --- |
| 2 1 1 | 33.1 | 1000 |
| 0 0 1 | 18.5 | 530 |
| 2 1 0 | 27.1 | 519 |
| 2 1 2 | 46.9 | 417 |
| 3 1 2 | 55.0 | 321 |
| 2 0 1 | 30.7 | 275 |

=====

6.
Structure and calculated X-ray diffraction stick pattern of TbSi2IrRh (DFT lattice parameters and positions (PBE); Cu Kα).
Intensities are scaled so that the largest is 1000.

Structural model:
```
data_TbSi2IrRh
_chemical_formula_sum 'Tb2 Si4 Ir2 Rh2'
_space_group_name_H-M_alt 'I -4 m 2'
_space_group_IT_number 119
_space_group_name_Hall 'I -4 -2'
_cell_length_a 4.0818
_cell_length_b 4.0818
_cell_length_c 9.9955
_cell_angle_alpha 90.00
_cell_angle_beta 90.00
_cell_angle_gamma 90.00
loop_
_atom_site_label
_atom_site_type_symbol
_atom_site_fract_x
_atom_site_fract_y
_atom_site_fract_z
Tb1 Tb 0.0000 0.0000 0.0000
Si1 Si 0.0000 0.0000 0.3784
Ir1 Ir 0.0000 0.5000 0.7500
Rh1 Rh 0.0000 0.5000 0.2500
```

Most intense lines, 15° ≤ 2θ ≤ 90°, in order of falling intensity:
| (hkl) | Position (°2θ) | I_rel |
| --- | --- | --- |
| 1 1 2 | 35.9 | 1000 |
| 0 0 8 | 76.2 | 292 |
| 2 0 0 | 44.4 | 291 |
| 2 2 0 | 64.6 | 242 |
| 1 0 1 | 23.5 | 235 |
| 1 0 3 | 34.8 | 201 |

=====

7.
Structure and calculated X-ray diffraction stick pattern of LiUAsO6 (DFT lattice parameters and positions (PBE); Cu Kα).
Intensities are scaled so that the largest is 1000.

Structural model:
```
data_LiUAsO6
_chemical_formula_sum 'Li2 U2 As2 O12'
_space_group_name_H-M_alt 'P -1'
_space_group_IT_number 2
_cell_length_a 5.1704
_cell_length_b 5.4362
_cell_length_c 10.1271
_cell_angle_alpha 90.31
_cell_angle_beta 97.37
_cell_angle_gamma 104.32
loop_
_space_group_symop_operation_xyz
'x,y,z'
'-x,-y,-z'
loop_
_atom_site_label
_atom_site_type_symbol
_atom_site_fract_x
_atom_site_fract_y
_atom_site_fract_z
Li1 Li 0.0529 0.4477 0.2707
U1 U 0.0000 0.0000 0.5000
U2 U 0.5000 0.5000 0.0000
As1 As 0.4246 0.0232 0.2426
O1 O 0.1790 0.4901 0.8968
O2 O 0.2013 0.8404 0.3385
O3 O 0.2278 0.3103 0.4864
O4 O 0.2624 0.8551 0.6663
O5 O 0.2986 0.2653 0.1739
O6 O 0.4593 0.8277 0.1175
```

Most intense lines, 15° ≤ 2θ ≤ 90°, in order of falling intensity:
| (hkl) | Position (°2θ) | I_rel |
| --- | --- | --- |
| 1 0 1 | 21.0 | 1000 |
| 0 1 1 | 19.3 | 917 |
| 0 1 -1 | 18.7 | 714 |
| -1 1 2 | 26.7 | 674 |
| 1 0 -1 | 18.9 | 583 |
| 1 -1 2 | 28.9 | 487 |

=====

8.
Structure and calculated X-ray diffraction stick pattern of CoRhS4 (DFT lattice parameters and positions (PBE); Cu Kα).
Intensities are scaled so that the largest is 1000.

Structural model:
```
data_CoRhS4
_chemical_formula_sum 'Co2 Rh2 S8'
_space_group_name_H-M_alt 'P 1 21/c 1'
_space_group_IT_number 14
_cell_length_a 5.6382
_cell_length_b 5.6313
_cell_length_c 5.6276
_cell_angle_alpha 90.00
_cell_angle_beta 90.07
_cell_angle_gamma 90.00
loop_
_space_group_symop_operation_xyz
'x,y,z'
'-x,-y,-z'
'-x,y+1/2,-z+1/2'
'x,-y+1/2,z+1/2'
loop_
_atom_site_label
_atom_site_type_symbol
_atom_site_fract_x
_atom_site_fract_y
_atom_site_fract_z
Co1 Co 0.0000 0.0000 0.0000
Rh1 Rh 0.5000 0.0000 0.5000
S1 S 0.1035 0.1138 0.3868
S2 S 0.3814 0.6073 0.3922
```

Most intense lines, 15° ≤ 2θ ≤ 90°, in order of falling intensity:
| (hkl) | Position (°2θ) | I_rel |
| --- | --- | --- |
| 0 2 0 | 31.8 | 1000 |
| 3 1 -1 | 54.0 | 793 |
| 1 1 1 | 27.4 | 605 |
| 2 0 -2 | 45.6 | 573 |
| 1 0 -2 | 35.6 | 327 |
| 2 1 1 | 39.2 | 288 |

=====

9.
Structure and calculated X-ray diffraction stick pattern of LiPmAu2 (DFT lattice parameters and positions (PBE); Cu Kα).
Intensities are scaled so that the largest is 1000.

Structural model:
```
data_LiPmAu2
_chemical_formula_sum 'Li4 Pm4 Au8'
_space_group_name_H-M_alt 'F m -3 m'
_space_group_IT_number 225
_space_group_name_Hall '-F 4 2 3'
_cell_length_a 7.0246
_cell_length_b 7.0246
_cell_length_c 7.0246
_cell_angle_alpha 90.00
_cell_angle_beta 90.00
_cell_angle_gamma 90.00
loop_
_atom_site_label
_atom_site_type_symbol
_atom_site_fract_x
_atom_site_fract_y
_atom_site_fract_z
Li1 Li 0.0000 0.0000 0.0000
Pm1 Pm 0.0000 0.0000 0.5000
Au1 Au 0.2500 0.2500 0.2500
```

Most intense lines, 15° ≤ 2θ ≤ 90°, in order of falling intensity:
| (hkl) | Position (°2θ) | I_rel |
| --- | --- | --- |
| 2 2 0 | 36.2 | 1000 |
| 4 2 2 | 65.0 | 368 |
| 2 0 0 | 25.4 | 241 |
| 4 0 0 | 52.1 | 178 |
| 6 2 0 | 87.9 | 171 |
| 1 1 1 | 21.9 | 160 |

=====

Q: Number 2 is which compound?
A: CeBr3O7